This entry pairs a crystal structure of CoIr with its theoretical XRD peak list. Radiation: Cu Kα (λ = 1.5418 Å). Structure: a crystal structure in Alexandria, relaxed with GGA-PBE.

Peak list (11 most intense, 2θ from 10° to 80°, low angle first)
two_theta	I_rel
27.03	41
42.32	100
43.76	12
48.47	17
49.66	31
57.44	11
67.34	4
68.31	7
71.92	20
72.86	10
79.31	2

Cell: 4.566 4.566 4.566 Å, 132.58 132.58 69.31°
Positions (direct):
1 Co 0.375 0.625 0.750
2 Co 0.625 0.375 0.250
3 Ir 0.125 0.875 0.250
4 Ir 0.875 0.125 0.750

This entry pairs a crystal structure of Co2Ir with its theoretical XRD peak list. Radiation: Cu Kα (λ = 1.5418 Å). Structure: a crystal structure in Alexandria, relaxed with GGA-PBE.

Peak list (12 most intense, 2θ from 10° to 80°, low angle first)
two_theta	I_rel
14.22	56
28.66	16
39.48	17
42.16	100
43.59	25
49.51	59
60.26	11
71.60	17
73.44	5
73.64	20
76.46	1
78.87	6

Cell: 2.636 2.636 6.229 Å, 90.00 90.00 120.00°
Positions (direct):
1 Co 0.333 0.667 0.155
2 Co 0.667 0.333 0.845
3 Ir 0.000 0.000 0.500